Calculated powder diffraction line list
Compound: Na3YTiSiP2O12
Radiation: copper Kα
Structure: a DFT-relaxed cell (GGA-PBE, the Materials Project)
Peak positions follow from Bragg's law for the DFT cell and can differ from measured ones.

```
data_Na3YTiSiP2O12
_chemical_formula_sum 'Na12 Y4 Ti4 Si4 P8 O48'
_cell_length_a 15.7276
_cell_length_b 9.2167
_cell_length_c 9.1858
_cell_angle_alpha 90.00
_cell_angle_beta 125.39
_cell_angle_gamma 90.00
_symmetry_space_group_name_H-M 'C 1 c 1'
_symmetry_Int_Tables_number 9
loop_
_symmetry_equiv_pos_as_xyz
'x,y,z'
'x,-y,z+1/2'
'x+1/2,y+1/2,z'
'x+1/2,-y+1/2,z+1/2'
loop_
_atom_site_label
_atom_site_type_symbol
_atom_site_fract_x
_atom_site_fract_y
_atom_site_fract_z
Na1 Na 0.0000 0.0720 0.0000
Na2 Na 0.0661 0.2725 0.4275
Na3 Na 0.3133 0.0898 0.6806
Y1 Y 0.4153 0.2455 0.0686
Ti1 Ti 0.2087 0.2628 0.2807
Si1 Si 0.4603 0.1158 0.4802
P1 P 0.1630 0.0846 0.8806
P2 P 0.3005 0.4580 0.6537
O1 O 0.0587 0.3020 0.1610
O2 O 0.0678 0.1329 0.6942
O3 O 0.1620 0.0862 0.3840
O4 O 0.1623 0.1357 0.0447
O5 O 0.2194 0.3619 0.4910
O6 O 0.2402 0.4325 0.1989
O7 O 0.2613 0.1372 0.9014
O8 O 0.3457 0.1834 0.4356
O9 O 0.3674 0.4582 0.1138
O10 O 0.3725 0.3591 0.8152
O11 O 0.4594 0.1707 0.3149
O12 O 0.4661 0.0599 0.9846
```

Principal peaks in the range 10° ≤ 2θ ≤ 90°, low angle first:
19.4°, d 4.564, I 100
22.7°, d 3.920, I 50
30.8°, d 2.906, I 36
30.9°, d 2.896, I 44
31.2°, d 2.871, I 39
33.8°, d 2.654, I 58